# 1
For Na5Ga2Bi4, a structure optimized by DFT (GGA-PBE) gives the computed X-ray powder pattern in this record (Cu Kα).

Top 8 peaks for 5 to 70 degrees two-theta, most intense first:
(1 1 -1), 2θ = 21.0°, 4.240 Å, intensity 100; (3 1 -2), 2θ = 30.6°, 2.920 Å, intensity 75; (3 1 0), 2θ = 22.6°, 3.934 Å, intensity 61; (0 0 2), 2θ = 23.3°, 3.817 Å, intensity 51; (3 1 2), 2θ = 34.6°, 2.589 Å, intensity 47; (0 2 0), 2θ = 35.1°, 2.559 Å, intensity 44; (1 1 -3), 2θ = 39.0°, 2.309 Å, intensity 42; (4 0 -1), 2θ = 20.5°, 4.323 Å, intensity 37

Structural model:
Lattice parameters (Å, degrees): 18.7879 5.1177 7.7709 90.00 100.79 90.00
Space group C2/m (No. 12)
One atom of each set of equivalent atoms:
Na1 0.0000 0.0000 0.0000 (multiplicity 2)
Na2 0.1588 0.5000 0.9655 (multiplicity 4)
Na3 0.1758 0.5000 0.4837 (multiplicity 4)
Ga1 0.0467 0.0000 0.6435 (multiplicity 4)
Bi1 0.0188 0.5000 0.2204 (multiplicity 4)
Bi2 0.1934 0.0000 0.7383 (multiplicity 4)

# 2
For BaNb3Ga, a structure optimized by DFT (GGA-PBE) gives the computed X-ray powder pattern in this record (Cu Kα).

Top 8 peaks for 5 to 70 degrees two-theta, most intense first:
(2 0 0), 2θ = 35.7°, 2.515 Å, intensity 100; (1 1 1), 2θ = 30.8°, 2.904 Å, intensity 98; (2 2 0), 2θ = 51.4°, 1.778 Å, intensity 69; (3 1 1), 2θ = 61.1°, 1.516 Å, intensity 40; (1 1 0), 2θ = 25.0°, 3.556 Å, intensity 25; (2 2 2), 2θ = 64.1°, 1.452 Å, intensity 23; (2 1 1), 2θ = 44.1°, 2.053 Å, intensity 11; (3 2 1), 2θ = 70.0°, 1.344 Å, intensity 6

Structural model:
Lattice parameters (Å, degrees): 5.0292 5.0292 5.0292 90.00 90.00 90.00
Space group Pm-3m (No. 221)
One atom of each set of equivalent atoms:
Ba1 0.0000 0.0000 0.0000 (multiplicity 1)
Nb1 0.0000 0.5000 0.5000 (multiplicity 3)
Ga1 0.5000 0.5000 0.5000 (multiplicity 1)